For MgV2Cu2O6, DFT lattice parameters and positions (GGA+U) gives the calculated XRD peak list in this record (Cu Kα).

Top 12 peaks for 10 to 80 degrees two-theta, in order of rising 2θ:
d [Å]  Position (°2θ)  intensity
3.949  22.52  33
2.658  33.72  100
2.614  34.30  91
2.567  34.95  73
2.522  35.59  82
2.496  35.98  85
2.453  36.64  88
1.831  49.81  39
1.809  50.45  48
1.769  51.66  43
1.536  60.25  33
1.477  62.92  34

Cell and atoms:
Lattice parameters (Å, degrees): 5.1373 5.2331 5.7502 63.56 65.36 61.72
Atoms (fractional coordinates):
Mg1 0.0000 0.0000 0.0000
V1 0.6209 0.6019 0.1260
V2 0.8020 0.8200 0.5702
Cu1 0.2590 0.2105 0.3295
Cu2 0.3812 0.3956 0.8094
O1 0.2285 0.6058 0.3253
O2 0.4336 0.9935 0.8274
O3 0.6364 0.8416 0.3146
O4 0.7315 0.4278 0.8382
O5 0.8850 0.2019 0.3129
O6 0.9928 0.7345 0.8368

---

For FePO5, DFT lattice parameters and positions (GGA+U) gives the calculated XRD peak list in this record (Cu Kα).

Top 12 peaks for 10 to 80 degrees two-theta, in order of rising 2θ:
d [Å]  Position (°2θ)  intensity
8.151  10.85  36
5.452  16.26  100
4.546  19.53  8
4.372  20.31  8
3.446  25.86  19
3.416  26.08  13
3.275  27.23  17
3.173  28.12  29
3.097  28.83  11
3.045  29.33  36
2.752  32.54  11
2.627  34.13  10

Cell and atoms:
Lattice parameters (Å, degrees): 8.5206 8.5206 9.1811 103.78 103.78 77.30
Atoms (fractional coordinates):
Fe1 0.2236 0.7764 0.7500
Fe2 0.2478 0.3967 0.9309
Fe3 0.3967 0.2478 0.4309
Fe4 0.6033 0.7522 0.5691
Fe5 0.7522 0.6033 0.0691
Fe6 0.7764 0.2236 0.2500
P1 0.0789 0.3405 0.1755
P2 0.3405 0.0789 0.6755
P3 0.4872 0.5128 0.7500
P4 0.5128 0.4872 0.2500
P5 0.6595 0.9211 0.3245
P6 0.9211 0.6595 0.8245
O1 0.0202 0.7920 0.8156
O2 0.0326 0.4949 0.8441
O3 0.1163 0.7029 0.5575
O4 0.1395 0.8605 0.2500
O5 0.1659 0.2673 0.0398
O6 0.2041 0.3687 0.3272
O7 0.2080 0.9798 0.6844
O8 0.2673 0.1659 0.5398
O9 0.2971 0.8837 0.9425
O10 0.3178 0.5369 0.8005
O11 0.3687 0.2041 0.8272
O12 0.3703 0.5108 0.1153
O13 0.4631 0.6822 0.6995
O14 0.4892 0.6297 0.3847
O15 0.4949 0.0326 0.3441
O16 0.5051 0.9674 0.6559
O17 0.5108 0.3703 0.6153
O18 0.5369 0.3178 0.3005
O19 0.6297 0.4892 0.8847
O20 0.6313 0.7959 0.1728
O21 0.6822 0.4631 0.1995
O22 0.7029 0.1163 0.0575
O23 0.7327 0.8341 0.4602
O24 0.7920 0.0202 0.3156
O25 0.7959 0.6313 0.6728
O26 0.8341 0.7327 0.9602
O27 0.8605 0.1395 0.7500
O28 0.8837 0.2971 0.4425
O29 0.9674 0.5051 0.1559
O30 0.9798 0.2080 0.1844

---

For Li4Mn5CuP6O24, DFT lattice parameters and positions (GGA+U) gives the calculated XRD peak list in this record (Cu Kα).

Top 12 peaks for 10 to 80 degrees two-theta, in order of rising 2θ:
d [Å]  Position (°2θ)  intensity
4.530  19.60  78
4.472  19.85  66
4.415  20.11  74
3.841  23.16  61
3.723  23.90  100
3.683  24.17  46
2.782  32.18  50
2.742  32.65  49
2.735  32.74  52
2.689  33.32  75
2.615  34.29  59
2.581  34.75  48

Cell and atoms:
Lattice parameters (Å, degrees): 8.5183 8.5474 8.7221 61.52 63.44 63.25
Atoms (fractional coordinates):
Li1 0.0000 0.0000 0.0000
Li2 0.0983 0.9398 0.4988
Li3 0.2051 0.4628 0.3305
Li4 0.5875 0.6301 0.8104
Mn1 0.0096 0.4396 0.7955
Mn2 0.3605 0.7941 0.1296
Mn3 0.4952 0.9383 0.2909
Mn4 0.7064 0.1377 0.5001
Mn5 0.8467 0.2977 0.6414
Cu1 0.2041 0.6399 0.9600
P1 0.1071 0.2397 0.1944
P2 0.2882 0.0313 0.6866
P3 0.4243 0.5356 0.5819
P4 0.6040 0.3269 0.1100
P5 0.7873 0.8444 0.8922
P6 0.9029 0.7574 0.3925
O1 0.0451 0.2591 0.0463
O2 0.0881 0.7471 0.2338
O3 0.0958 0.1802 0.7299
O4 0.1658 0.4075 0.1486
O5 0.2582 0.4860 0.6156
O6 0.2606 0.0408 0.2218
O7 0.2898 0.8627 0.8777
O8 0.2918 0.9712 0.5458
O9 0.4165 0.5839 0.7350
O10 0.4335 0.7042 0.3934
O11 0.4528 0.0936 0.6293
O12 0.4533 0.5211 0.1025
O13 0.5131 0.1838 0.1584
O14 0.5980 0.8758 0.0371
O15 0.6104 0.3762 0.5548
O16 0.6955 0.2679 0.2532
O17 0.7370 0.8246 0.3276
O18 0.7432 0.3503 0.9135
O19 0.7880 0.0345 0.7208
O20 0.8128 0.6875 0.8370
O21 0.8883 0.8957 0.4684
O22 0.9203 0.5544 0.5360
O23 0.9451 0.8167 0.9535
O24 0.9673 0.2159 0.3900

---

For CrPb6Cl6O8, DFT lattice parameters and positions (GGA+U) gives the calculated XRD peak list in this record (Cu Kα).

Top 12 peaks for 10 to 80 degrees two-theta, in order of rising 2θ:
d [Å]  Position (°2θ)  intensity
4.854  18.28  36
4.080  21.78  56
3.941  22.56  100
3.101  28.79  66
3.039  29.39  81
2.666  33.61  21
2.551  35.17  49
2.328  38.68  37
2.201  41.01  52
1.970  46.07  29
1.891  48.11  23
1.573  58.68  23

Cell and atoms:
Lattice parameters (Å, degrees): 8.3175 8.3175 8.3175 108.50 108.50 108.50
Atoms (fractional coordinates):
Cr1 0.0000 0.0000 0.0000
Pb1 0.0407 0.3932 0.2793
Pb2 0.2793 0.0407 0.3932
Pb3 0.3932 0.2793 0.0407
Pb4 0.6068 0.7207 0.9593
Pb5 0.7207 0.9593 0.6068
Pb6 0.9593 0.6068 0.7207
Cl1 0.2201 0.3358 0.7070
Cl2 0.2930 0.7799 0.6642
Cl3 0.3358 0.7070 0.2201
Cl4 0.6642 0.2930 0.7799
Cl5 0.7070 0.2201 0.3358
Cl6 0.7799 0.6642 0.2930
O1 0.0271 0.0973 0.2463
O2 0.0973 0.2463 0.0271
O3 0.2463 0.0271 0.0973
O4 0.4275 0.4275 0.4275
O5 0.5725 0.5725 0.5725
O6 0.7537 0.9729 0.9027
O7 0.9027 0.7537 0.9729
O8 0.9729 0.9027 0.7537

---

For ZnCoGe2O6, DFT lattice parameters and positions (GGA+U) gives the calculated XRD peak list in this record (Cu Kα).

Top 12 peaks for 10 to 80 degrees two-theta, in order of rising 2θ:
d [Å]  Position (°2θ)  intensity
3.438  25.92  34
3.319  26.86  42
3.149  28.34  100
3.065  29.13  32
3.013  29.65  77
2.667  33.60  45
2.580  34.77  59
2.533  35.43  34
2.439  36.85  20
2.301  39.14  20
1.695  54.09  39
1.435  64.98  32

Cell and atoms:
Lattice parameters (Å, degrees): 9.7791 9.2199 5.4863 90.00 102.01 90.00
Atoms (fractional coordinates):
Zn1 0.2469 0.0007 0.4550
Zn2 0.2469 0.4993 0.9550
Zn3 0.7531 0.5007 0.0450
Zn4 0.7531 0.9993 0.5450
Co1 0.2457 0.1530 0.9601
Co2 0.2457 0.3470 0.4601
Co3 0.7543 0.6530 0.5399
Co4 0.7543 0.8470 0.0399
Ge1 0.0554 0.6630 0.3102
Ge2 0.0554 0.8370 0.8102
Ge3 0.4538 0.6586 0.7421
Ge4 0.4538 0.8414 0.2421
Ge5 0.5462 0.1586 0.7579
Ge6 0.5462 0.3414 0.2579
Ge7 0.9446 0.1630 0.1898
Ge8 0.9446 0.3370 0.6898
O1 0.1086 0.6856 0.6433
O2 0.1086 0.8144 0.1433
O3 0.1306 0.1654 0.2474
O4 0.1306 0.3346 0.7474
O5 0.1392 0.5101 0.2260
O6 0.1392 0.9899 0.7260
O7 0.3618 0.1644 0.6852
O8 0.3618 0.3356 0.1852
O9 0.3724 0.0101 0.2029
O10 0.3724 0.4899 0.7029
O11 0.3826 0.7166 0.0017
O12 0.3826 0.7834 0.5017
O13 0.6174 0.2166 0.4983
O14 0.6174 0.2834 0.9983
O15 0.6276 0.5101 0.2971
O16 0.6276 0.9899 0.7971
O17 0.6382 0.6644 0.8148
O18 0.6382 0.8356 0.3148
O19 0.8608 0.0101 0.2740
O20 0.8608 0.4899 0.7740
O21 0.8694 0.6654 0.2526
O22 0.8694 0.8346 0.7526
O23 0.8914 0.1856 0.8567
O24 0.8914 0.3144 0.3567

---

For K2MnH8S2O12, DFT lattice parameters and positions (GGA+U) gives the calculated XRD peak list in this record (Cu Kα).

Top 12 peaks for 10 to 80 degrees two-theta, in order of rising 2θ:
d [Å]  Position (°2θ)  intensity
6.224  14.23  18
5.007  17.71  21
4.888  18.15  28
3.588  24.81  67
3.498  25.46  100
3.402  26.20  48
3.115  28.65  17
2.821  31.72  24
2.694  33.26  15
2.444  36.78  44
2.015  45.00  20
1.749  52.30  15

Cell and atoms:
Lattice parameters (Å, degrees): 7.7895 7.7929 10.0571 86.10 86.03 77.72
Atoms (fractional coordinates):
K1 0.0000 0.0000 0.0000
K2 0.1297 0.1938 0.4929
K3 0.4707 0.5283 0.9990
K4 0.6573 0.6650 0.5001
Mn1 0.0619 0.5961 0.7476
Mn2 0.5641 0.0961 0.2476
H1 0.0121 0.8185 0.5161
H2 0.1161 0.3725 0.9805
H3 0.2204 0.3283 0.2100
H4 0.2326 0.2722 0.8635
H5 0.2860 0.5442 0.5162
H6 0.3331 0.4401 0.2869
H7 0.3850 0.4304 0.6346
H8 0.4778 0.0415 0.9733
H9 0.4997 0.0406 0.5306
H10 0.6265 0.1523 0.9657
H11 0.6370 0.1642 0.5221
H12 0.7422 0.7596 0.8601
H13 0.7947 0.7537 0.2100
H14 0.8408 0.6503 0.9807
H15 0.8978 0.9171 0.6337
H16 0.9074 0.8653 0.2871
S1 0.2693 0.8013 0.2935
S2 0.3599 0.8810 0.7715
S3 0.7746 0.3011 0.7195
S4 0.8583 0.3923 0.2027
O1 0.0332 0.3155 0.1337
O2 0.0946 0.8782 0.3620
O3 0.1868 0.3916 0.8961
O4 0.2281 0.7696 0.8134
O5 0.2468 0.7772 0.1523
O6 0.2660 0.4737 0.6002
O7 0.3141 0.0425 0.8501
O8 0.3361 0.3252 0.2477
O9 0.3458 0.6274 0.3631
O10 0.3548 0.9285 0.6254
O11 0.3902 0.9228 0.3081
O12 0.5380 0.7800 0.8028
O13 0.5593 0.0833 0.0283
O14 0.5720 0.1036 0.4675
O15 0.6002 0.3785 0.6659
O16 0.7376 0.2707 0.1880
O17 0.7587 0.2722 0.8675
O18 0.7817 0.5661 0.1333
O19 0.7921 0.8687 0.2486
O20 0.8491 0.1325 0.6552
O21 0.8607 0.7208 0.8966
O22 0.8814 0.4161 0.3437
O23 0.8959 0.4248 0.6817
O24 0.9400 0.7977 0.5992